This entry pairs a crystal structure of RbNaCd2Bi with its computed PXRD pattern. Radiation: Cu Kα (weighted mean of Kα1 and Kα2). Structure: DFT lattice parameters and positions (GGA-PBE).

The 8 most intense peaks (2θ from 10° to 90°), low angle first:
4.882 Å, 18.2 deg, I = 757, hkl 0 1 1
3.670 Å, 24.3 deg, I = 639, hkl 1 1 0
3.287 Å, 27.1 deg, I = 717, hkl 1 0 3
3.189 Å, 28.0 deg, I = 1000, hkl 1 1 2
2.637 Å, 34.0 deg, I = 568, hkl 0 2 0
2.555 Å, 35.1 deg, I = 519, hkl 2 0 0
2.421 Å, 37.1 deg, I = 796, hkl 1 1 4
2.302 Å, 39.1 deg, I = 499, hkl 1 0 5

Structure:
Unit cell a=5.109 b=5.275 c=12.882 alpha=90.00 beta=90.00 gamma=90.00
Space group Imm2 (No. 44)
Asymmetric unit:
Rb: 0.000 0.000 0.000
Na: 0.000 0.500 0.736
Cd: 0.000 0.000 0.380
Cd: 0.000 0.500 0.250
Bi: 0.000 0.000 0.611

This entry pairs a crystal structure of TbPrNd4Dy2 with its computed PXRD pattern. Radiation: Cu Kα (weighted mean of Kα1 and Kα2). Structure: DFT lattice parameters and positions (GGA-PBE).

The 8 most intense peaks (2θ from 10° to 90°), low angle first:
2.970 Å, 30.1 deg, I = 1000, hkl 1 1 1
2.959 Å, 30.2 deg, I = 330, hkl 0 0 4
2.573 Å, 34.9 deg, I = 451, hkl 1 1 -3
2.562 Å, 35.0 deg, I = 223, hkl 2 0 2
1.817 Å, 50.2 deg, I = 241, hkl 3 1 -1
1.814 Å, 50.3 deg, I = 160, hkl 1 1 5
1.553 Å, 59.5 deg, I = 193, hkl 0 2 4
1.549 Å, 59.7 deg, I = 191, hkl 3 1 -5

Structure:
Unit cell a=6.288 b=3.648 c=12.027 alpha=90.00 beta=100.20 gamma=90.00
Space group P2/m (No. 10)
Asymmetric unit:
Tb: 0.000 0.000 0.000
Pr: 0.000 0.500 0.500
Nd: 0.250 0.500 0.249
Nd: 0.252 0.000 0.753
Dy: 0.500 0.000 0.500
Dy: 0.500 0.500 0.000

This entry pairs a crystal structure of Tb2Ir2Rh with its computed PXRD pattern. Radiation: Cu Kα (weighted mean of Kα1 and Kα2). Structure: DFT lattice parameters and positions (GGA-PBE).

The 8 most intense peaks (2θ from 10° to 90°), low angle first:
2.659 Å, 33.7 deg, I = 820, hkl 1 1 2
2.358 Å, 38.2 deg, I = 480, hkl 1 0 3
2.265 Å, 39.8 deg, I = 450, hkl 0 2 2
2.257 Å, 39.9 deg, I = 508, hkl 2 0 0
2.234 Å, 40.4 deg, I = 1000, hkl 1 2 1
2.074 Å, 43.6 deg, I = 227, hkl 0 0 4
1.599 Å, 57.7 deg, I = 310, hkl 2 2 2
1.349 Å, 69.7 deg, I = 389, hkl 1 2 5

Structure:
Unit cell a=4.514 b=5.407 c=8.296 alpha=90.00 beta=90.00 gamma=90.00
Space group Immm (No. 71)
Asymmetric unit:
Tb: 0.000 0.000 0.203
Ir: 0.000 0.264 0.500
Rh: 0.000 0.500 0.000

This entry pairs a crystal structure of Y2NiRu3 with its computed PXRD pattern. Radiation: Cu Kα (weighted mean of Kα1 and Kα2). Structure: DFT lattice parameters and positions (GGA-PBE).

The 8 most intense peaks (2θ from 10° to 90°), low angle first:
2.656 Å, 33.7 deg, I = 453, hkl 1 0 4
2.268 Å, 39.7 deg, I = 552, hkl 0 1 5
2.253 Å, 40.0 deg, I = 1000, hkl 1 1 3
2.245 Å, 40.2 deg, I = 812, hkl 0 2 1
2.152 Å, 42.0 deg, I = 734, hkl 2 0 2
1.439 Å, 64.8 deg, I = 247, hkl 1 2 5
1.328 Å, 71.0 deg, I = 316, hkl 2 0 8
1.316 Å, 71.7 deg, I = 307, hkl 2 2 0

Structure:
Unit cell a=5.2627 b=5.2627 c=13.0755 alpha=90.00 beta=90.00 gamma=120.00
Space group R-3m (No. 166, hexagonal axes)
Asymmetric unit:
Y: 0.0000 0.0000 0.1232
Ni: 0.0000 0.0000 0.5000
Ru: 0.0000 0.5000 0.0000

This entry pairs a crystal structure of Rb3Pa4O12 with its computed PXRD pattern. Radiation: Cu Kα (weighted mean of Kα1 and Kα2). Structure: DFT lattice parameters and positions (GGA-PBE).

The 8 most intense peaks (2θ from 10° to 90°), low angle first:
4.376 Å, 20.3 deg, I = 492, hkl 2 0 0
3.094 Å, 28.9 deg, I = 1000, hkl 2 2 0
2.188 Å, 41.3 deg, I = 295, hkl 4 0 0
1.957 Å, 46.4 deg, I = 236, hkl 4 2 0
1.786 Å, 51.1 deg, I = 429, hkl 4 2 2
1.547 Å, 59.8 deg, I = 192, hkl 4 4 0
1.384 Å, 67.7 deg, I = 190, hkl 6 2 0
1.169 Å, 82.5 deg, I = 228, hkl 6 4 2

Structure:
Unit cell a=8.751 b=8.751 c=8.751 alpha=90.00 beta=90.00 gamma=90.00
Space group Im-3m (No. 229)
Asymmetric unit:
Rb: 0.000 0.000 0.500
Pa: 0.250 0.250 0.250
O: 0.000 0.254 0.254

This entry pairs a crystal structure of ThAlB12 with its computed PXRD pattern. Radiation: Cu Kα (weighted mean of Kα1 and Kα2). Structure: DFT lattice parameters and positions (GGA-PBE).

The 8 most intense peaks (2θ from 10° to 90°), low angle first:
8.340 Å, 10.6 deg, I = 1000, hkl 0 0 1
4.170 Å, 21.3 deg, I = 192, hkl 0 0 2
4.144 Å, 21.4 deg, I = 379, hkl 1 0 0
3.711 Å, 24.0 deg, I = 647, hkl 1 0 1
2.936 Å, 30.4 deg, I = 995, hkl 1 1 0
2.765 Å, 32.4 deg, I = 311, hkl 1 1 1
2.398 Å, 37.5 deg, I = 429, hkl 1 1 2
1.855 Å, 49.1 deg, I = 333, hkl 2 1 0

Structure:
Unit cell a=4.144 b=4.144 c=8.340 alpha=90.00 beta=90.00 gamma=90.00
Space group P4/mmm (No. 123)
Asymmetric unit:
Th: 0.000 0.000 0.000
Al: 0.000 0.000 0.500
B: 0.200 0.500 0.247
B: 0.500 0.500 0.098
B: 0.500 0.500 0.398

This entry pairs a crystal structure of K2MnVS4 with its computed PXRD pattern. Radiation: Cu Kα (weighted mean of Kα1 and Kα2). Structure: DFT lattice parameters and positions (GGA-PBE).

The 8 most intense peaks (2θ from 10° to 90°), low angle first:
5.463 Å, 16.2 deg, I = 274, hkl 1 0 1
3.482 Å, 25.6 deg, I = 137, hkl 2 0 0
3.283 Å, 27.2 deg, I = 1000, hkl 1 1 2
2.936 Å, 30.4 deg, I = 154, hkl 2 1 1
2.462 Å, 36.5 deg, I = 227, hkl 2 2 0
1.970 Å, 46.1 deg, I = 328, hkl 3 1 2
1.861 Å, 48.9 deg, I = 265, hkl 2 0 4
1.557 Å, 59.3 deg, I = 126, hkl 2 4 0

Structure:
Unit cell a=6.964 b=6.964 c=8.807 alpha=90.00 beta=90.00 gamma=90.00
Space group I-4 (No. 82)
Asymmetric unit:
K: 0.000 0.000 0.000
K: 0.000 0.500 0.250
Mn: 0.000 0.000 0.500
V: 0.000 0.500 0.750
S: 0.145 0.736 0.619

This entry pairs a crystal structure of TbNd5Th with its computed PXRD pattern. Radiation: Cu Kα (weighted mean of Kα1 and Kα2). Structure: DFT lattice parameters and positions (GGA-PBE).

The 8 most intense peaks (2θ from 10° to 90°), low angle first:
3.847 Å, 23.1 deg, I = 144, hkl 1 1 1
2.981 Å, 30.0 deg, I = 220, hkl 1 3 -1
2.882 Å, 31.0 deg, I = 313, hkl 2 0 -2
2.827 Å, 31.7 deg, I = 1000, hkl 0 2 2
2.613 Å, 34.3 deg, I = 163, hkl 0 4 0
1.936 Å, 46.9 deg, I = 128, hkl 2 4 -2
1.681 Å, 54.6 deg, I = 113, hkl 0 0 4
1.653 Å, 55.6 deg, I = 180, hkl 2 2 -4

Structure:
Unit cell a=7.092 b=10.451 c=7.097 alpha=90.00 beta=108.65 gamma=90.00
Space group C2/m (No. 12)
Asymmetric unit:
Tb: 0.000 0.000 0.000
Nd: 0.000 0.500 0.000
Nd: 0.194 0.213 0.726
Th: 0.000 0.500 0.500

This entry pairs a crystal structure of PmNpOsRh with its computed PXRD pattern. Radiation: Cu Kα (weighted mean of Kα1 and Kα2). Structure: DFT lattice parameters and positions (GGA-PBE).

The 8 most intense peaks (2θ from 10° to 90°), low angle first:
3.980 Å, 22.3 deg, I = 68, hkl 1 1 1
3.447 Å, 25.8 deg, I = 20, hkl 2 0 0
2.437 Å, 36.9 deg, I = 1000, hkl 2 2 0
2.079 Å, 43.5 deg, I = 39, hkl 3 1 1
1.724 Å, 53.1 deg, I = 177, hkl 4 0 0
1.582 Å, 58.3 deg, I = 18, hkl 3 3 1
1.407 Å, 66.4 deg, I = 363, hkl 4 2 2
1.219 Å, 78.5 deg, I = 114, hkl 4 4 0

Structure:
Unit cell a=6.894 b=6.894 c=6.894 alpha=90.00 beta=90.00 gamma=90.00
Space group F-43m (No. 216)
Asymmetric unit:
Pm: 0.000 0.000 0.000
Np: 0.000 0.000 0.500
Os: 0.250 0.250 0.250
Rh: 0.250 0.250 0.750

This entry pairs a crystal structure of Li2CeAl10 with its computed PXRD pattern. Radiation: Cu Kα (weighted mean of Kα1 and Kα2). Structure: DFT lattice parameters and positions (GGA-PBE).

The 8 most intense peaks (2θ from 10° to 90°), low angle first:
6.655 Å, 13.3 deg, I = 657, hkl 0 0 2
4.616 Å, 19.2 deg, I = 1000, hkl 0 2 2
3.298 Å, 27.0 deg, I = 505, hkl 1 1 3
2.663 Å, 33.7 deg, I = 746, hkl 1 3 3
2.342 Å, 38.4 deg, I = 696, hkl 1 1 5
2.311 Å, 39.0 deg, I = 635, hkl 2 2 2
2.303 Å, 39.1 deg, I = 485, hkl 0 4 4
2.270 Å, 39.7 deg, I = 638, hkl 1 5 1

Structure:
Unit cell a=5.344 b=12.765 c=13.310 alpha=90.00 beta=90.00 gamma=90.00
Space group Fmmm (No. 69)
Asymmetric unit:
Li: 0.250 0.000 0.250
Ce: 0.000 0.000 0.000
Al: 0.000 0.109 0.388
Al: 0.000 0.176 0.177
Al: 0.250 0.250 0.000